(1)
For Li6Ag12Pb, a DFT-relaxed cell (PBE, Alexandria) gives the theoretical powder diffractogram in this record (Cu Ka).
Neutral-atom scattering factors, no anomalous dispersion.

```
data_Li6Ag12Pb
_space_group_name_H-M_alt 'R -3'
_space_group_IT_number 148
_space_group_name_Hall '-R 3'
_cell_length_a 11.3027
_cell_length_b 11.3027
_cell_length_c 9.6754
_cell_angle_alpha 90.00
_cell_angle_beta 90.00
_cell_angle_gamma 120.00
loop_
_atom_site_label
_atom_site_type_symbol
_atom_site_fract_x
_atom_site_fract_y
_atom_site_fract_z
Li1 Li 0.0881 0.9106 0.2489
Ag1 Ag 0.9997 0.2691 0.5000
Ag2 Ag 0.0643 0.5323 0.6242
Pb1 Pb 0.0000 0.0000 0.5000
```

Largest 6 diffraction maxima, sorted by position, 10 to 90 degrees two-theta:
(0 2 1), 2θ = 20.33°, I = 34; (0 1 2), 2θ = 20.48°, I = 67; (4 -3 1), 2θ = 34.31°, I = 20; (4 0 1), 2θ = 37.95°, I = 100; (0 3 3), 2θ = 39.28°, I = 69; (0 4 2), 2θ = 41.31°, I = 49

***

(2)
For PmBeAg, a DFT-relaxed cell (PBE, Alexandria) gives the theoretical powder diffractogram in this record (Cu Ka).
Neutral-atom scattering factors, no anomalous dispersion.

```
data_PmBeAg
_space_group_name_H-M_alt 'C m c e'
_space_group_IT_number 64
_space_group_name_Hall '-C 2ac 2'
_cell_length_a 5.7610
_cell_length_b 12.0849
_cell_length_c 6.9786
_cell_angle_alpha 90.00
_cell_angle_beta 90.00
_cell_angle_gamma 90.00
loop_
_atom_site_label
_atom_site_type_symbol
_atom_site_fract_x
_atom_site_fract_y
_atom_site_fract_z
Pm1 Pm 0.0000 0.1801 0.0802
Be1 Be 0.0000 0.0855 0.4661
Ag1 Ag 0.2500 0.0469 0.7500
```

Largest 6 diffraction maxima, sorted by position, 10 to 90 degrees two-theta:
(0 2 2), 2θ = 29.56°, I = 67; (1 3 1), 2θ = 29.94°, I = 100; (1 1 2), 2θ = 30.86°, I = 74; (0 4 1), 2θ = 32.29°, I = 80; (2 2 0), 2θ = 34.49°, I = 76; (2 4 3), 2θ = 59.55°, I = 55

***

(3)
For Rb2ZnReCl6, a DFT-relaxed cell (PBE, Alexandria) gives the theoretical powder diffractogram in this record (Cu Ka).
Neutral-atom scattering factors, no anomalous dispersion.

```
data_Rb2ZnReCl6
_space_group_name_H-M_alt 'I 4/m m m'
_space_group_IT_number 139
_space_group_name_Hall '-I 4 2'
_cell_length_a 7.6340
_cell_length_b 7.6340
_cell_length_c 9.0939
_cell_angle_alpha 90.00
_cell_angle_beta 90.00
_cell_angle_gamma 90.00
loop_
_atom_site_label
_atom_site_type_symbol
_atom_site_fract_x
_atom_site_fract_y
_atom_site_fract_z
Rb1 Rb 0.0000 0.5000 0.2500
Zn1 Zn 0.0000 0.0000 0.0000
Re1 Re 0.0000 0.0000 0.5000
Cl1 Cl 0.0000 0.0000 0.2419
Cl2 Cl 0.2253 0.2253 0.5000
```

Largest 6 diffraction maxima, sorted by position, 10 to 90 degrees two-theta:
(1 0 1), 2θ = 15.15°, I = 45; (2 0 0), 2θ = 23.30°, I = 64; (1 1 2), 2θ = 25.62°, I = 100; (2 2 0), 2θ = 33.19°, I = 80; (3 1 2), 2θ = 42.39°, I = 50; (2 2 4), 2θ = 52.65°, I = 47

***

(4)
For Ba10Cu5Hg5O21, a DFT-relaxed cell (PBE, Alexandria) gives the theoretical powder diffractogram in this record (Cu Ka).
Neutral-atom scattering factors, no anomalous dispersion.

```
data_Ba10Cu5Hg5O21
_space_group_name_H-M_alt 'P -1'
_space_group_IT_number 2
_cell_length_a 8.6882
_cell_length_b 8.6903
_cell_length_c 10.5027
_cell_angle_alpha 99.52
_cell_angle_beta 109.32
_cell_angle_gamma 90.02
loop_
_space_group_symop_operation_xyz
'x,y,z'
'-x,-y,-z'
loop_
_atom_site_label
_atom_site_type_symbol
_atom_site_fract_x
_atom_site_fract_y
_atom_site_fract_z
Ba1 Ba 0.0184 0.2581 0.2954
Ba2 Ba 0.1832 0.3408 0.7046
Ba3 Ba 0.2192 0.8607 0.2982
Ba4 Ba 0.3884 0.9445 0.7211
Ba5 Ba 0.4191 0.4589 0.2954
Cu1 Cu 0.0000 0.0000 0.5000
Cu2 Cu 0.2012 0.6019 0.5024
Cu3 Cu 0.4010 0.1984 0.5000
Hg1 Hg 0.0000 0.5000 0.0000
Hg2 Hg 0.2104 0.0968 0.0000
Hg3 Hg 0.4027 0.7109 0.9999
O1 O 0.0000 0.5000 0.5000
O2 O 0.0824 0.5413 0.2062
O3 O 0.0986 0.7993 0.4998
O4 O 0.1112 0.0606 0.7906
O5 O 0.1991 0.1022 0.5004
O6 O 0.2788 0.1443 0.2095
O7 O 0.2990 0.3997 0.4995
O8 O 0.3135 0.6533 0.7903
O9 O 0.4013 0.6969 0.4995
O10 O 0.4809 0.7370 0.2093
O11 O 0.5000 0.0000 0.0000
O12 O 0.5000 0.0000 0.5000
```

Largest 6 diffraction maxima, sorted by position, 10 to 90 degrees two-theta:
(2 1 -2), 2θ = 24.66°, I = 30; (2 1 1), 2θ = 29.38°, I = 100; (1 3 -1), 2θ = 32.59°, I = 51; (3 -1 2), 2θ = 43.10°, I = 18; (4 2 -2), 2θ = 46.75°, I = 23; (5 0 0), 2θ = 56.19°, I = 33

***

(5)
For MgFeRu4, a DFT-relaxed cell (PBE, Alexandria) gives the theoretical powder diffractogram in this record (Cu Ka).
Neutral-atom scattering factors, no anomalous dispersion.

```
data_MgFeRu4
_space_group_name_H-M_alt 'F -4 3 m'
_space_group_IT_number 216
_space_group_name_Hall 'F -4 2 3'
_cell_length_a 7.2063
_cell_length_b 7.2063
_cell_length_c 7.2063
_cell_angle_alpha 90.00
_cell_angle_beta 90.00
_cell_angle_gamma 90.00
loop_
_atom_site_label
_atom_site_type_symbol
_atom_site_fract_x
_atom_site_fract_y
_atom_site_fract_z
Mg1 Mg 0.0000 0.0000 0.0000
Fe1 Fe 0.2500 0.2500 0.2500
Ru1 Ru 0.1249 0.1249 0.6249
```

Largest 6 diffraction maxima, sorted by position, 10 to 90 degrees two-theta:
(1 1 1), 2θ = 21.36°, I = 60; (3 1 1), 2θ = 41.56°, I = 100; (2 2 2), 2θ = 43.50°, I = 70; (4 0 0), 2θ = 50.67°, I = 21; (5 1 1), 2θ = 67.54°, I = 30; (4 4 0), 2θ = 74.48°, I = 29

***

(6)
For BaCeI6, a DFT-relaxed cell (PBE, Alexandria) gives the theoretical powder diffractogram in this record (Cu Ka).
Neutral-atom scattering factors, no anomalous dispersion.

```
data_BaCeI6
_space_group_name_H-M_alt 'P -1'
_space_group_IT_number 2
_cell_length_a 7.9960
_cell_length_b 7.9982
_cell_length_c 8.6536
_cell_angle_alpha 90.00
_cell_angle_beta 117.48
_cell_angle_gamma 119.98
loop_
_space_group_symop_operation_xyz
'x,y,z'
'-x,-y,-z'
loop_
_atom_site_label
_atom_site_type_symbol
_atom_site_fract_x
_atom_site_fract_y
_atom_site_fract_z
Ba1 Ba 0.0000 0.0000 0.0000
Ce1 Ce 0.0000 0.5000 0.5000
I1 I 0.1666 0.4492 0.2624
I2 I 0.1859 0.2816 0.7366
I3 I 0.4550 0.9035 0.7370
```

Largest 6 diffraction maxima, sorted by position, 10 to 90 degrees two-theta:
(1 0 0), 2θ = 15.12°, I = 28; (1 0 -2), 2θ = 20.64°, I = 19; (-1 2 1), 2θ = 25.38°, I = 100; (1 1 1), 2θ = 33.17°, I = 52; (3 0 -2), 2θ = 39.01°, I = 35; (-1 2 3), 2θ = 43.43°, I = 23

***

(7)
For Co3Cu2Ni9, a DFT-relaxed cell (PBE, Alexandria) gives the theoretical powder diffractogram in this record (Cu Ka).
Neutral-atom scattering factors, no anomalous dispersion.

```
data_Co3Cu2Ni9
_space_group_name_H-M_alt 'P 63/m'
_space_group_IT_number 176
_space_group_name_Hall '-P 6c'
_cell_length_a 7.5897
_cell_length_b 7.5897
_cell_length_c 6.6884
_cell_angle_alpha 90.00
_cell_angle_beta 90.00
_cell_angle_gamma 120.00
loop_
_atom_site_label
_atom_site_type_symbol
_atom_site_fract_x
_atom_site_fract_y
_atom_site_fract_z
Co1 Co 0.0318 0.1874 0.2500
Cu1 Cu 0.3333 0.6667 0.0697
Ni1 Ni 0.0217 0.3370 0.5605
Ni2 Ni 0.1397 0.6417 0.7500
```

Largest 6 diffraction maxima, sorted by position, 10 to 90 degrees two-theta:
(2 1 1), 2θ = 38.66°, I = 53; (3 0 0), 2θ = 41.20°, I = 54; (1 1 3), 2θ = 47.29°, I = 87; (3 0 2), 2θ = 49.75°, I = 100; (2 2 1), 2θ = 49.98°, I = 87; (2 2 5), 2θ = 89.68°, I = 25

***

(8)
For PaZn3Pd3, a DFT-relaxed cell (PBE, Alexandria) gives the theoretical powder diffractogram in this record (Cu Ka).
Neutral-atom scattering factors, no anomalous dispersion.

```
data_PaZn3Pd3
_space_group_name_H-M_alt 'R -3'
_space_group_IT_number 148
_space_group_name_Hall '-R 3'
_cell_length_a 6.6342
_cell_length_b 6.6342
_cell_length_c 19.3174
_cell_angle_alpha 90.00
_cell_angle_beta 90.00
_cell_angle_gamma 120.00
loop_
_atom_site_label
_atom_site_type_symbol
_atom_site_fract_x
_atom_site_fract_y
_atom_site_fract_z
Pa1 Pa 0.0000 0.0000 0.1598
Zn1 Zn 0.0521 0.2814 0.7000
Pd1 Pd 0.0122 0.2531 0.5630
```

Largest 6 diffraction maxima, sorted by position, 10 to 90 degrees two-theta:
(0 0 3), 2θ = 13.75°, I = 39; (2 -1 3), 2θ = 30.31°, I = 94; (1 0 7), 2θ = 36.11°, I = 46; (2 -1 6), 2θ = 38.99°, I = 100; (2 1 1), 2θ = 41.86°, I = 69; (1 1 9), 2θ = 50.66°, I = 37